(1)
The following is a computed X-ray diffraction stick pattern of NaCo5S8. It was derived from DFT lattice parameters and positions (PBE), using Cu Kα X-rays.
No peak broadening, texture or thermal motion is included.

Structure:
a b c (Å): 8.891 8.891 8.018
angles (deg): 107.88 107.88 21.71
Fractional coordinates of all 14 atoms:
Na (0.000, 0.000, 0.000)
Co (0.158, 0.158, 0.461)
Co (0.203, 0.203, 0.822)
Co (0.501, 0.501, 0.500)
Co (0.799, 0.799, 0.177)
Co (0.844, 0.844, 0.538)
S (0.080, 0.080, 0.628)
S (0.263, 0.263, 0.351)
S (0.325, 0.325, 0.019)
S (0.421, 0.421, 0.683)
S (0.580, 0.580, 0.316)
S (0.677, 0.677, 0.980)
S (0.738, 0.738, 0.648)
S (0.922, 0.922, 0.372)

Peak list (8 most intense, 2θ from 15° to 90°, by intensity)
54.81°, d = 1.675 Å, I 100; 35.22°, d = 2.548 Å, I 81; 43.65°, d = 2.074 Å, I 43; 20.95°, d = 4.241 Å, I 40; 51.85°, d = 1.763 Å, I 39; 31.23°, d = 2.864 Å, I 35; 33.58°, d = 2.669 Å, I 31; 48.87°, d = 1.864 Å, I 31

---

(2)
The following is a computed X-ray diffraction stick pattern of Na2CoS2. It was derived from DFT lattice parameters and positions (PBE), using Cu Kα X-rays.
No peak broadening, texture or thermal motion is included.

Structure:
a b c (Å): 7.110 7.110 7.110
angles (deg): 127.53 72.38 133.91
Fractional coordinates of all 10 atoms:
Na (0.144, 0.163, 0.307)
Na (0.356, 0.663, 0.018)
Na (0.644, 0.337, 0.982)
Na (0.856, 0.837, 0.693)
Co (0.250, 0.750, 0.500)
Co (0.750, 0.250, 0.500)
S (0.110, 0.707, 0.817)
S (0.390, 0.207, 0.597)
S (0.610, 0.793, 0.403)
S (0.890, 0.293, 0.183)

Peak list (8 most intense, 2θ from 15° to 90°, by intensity)
16.08°, d = 5.513 Å, I 100; 15.44°, d = 5.738 Å, I 59; 45.40°, d = 1.998 Å, I 47; 42.67°, d = 2.119 Å, I 47; 27.29°, d = 3.268 Å, I 44; 43.43°, d = 2.084 Å, I 39; 36.16°, d = 2.484 Å, I 29; 33.67°, d = 2.662 Å, I 26

---

(3)
The following is a computed X-ray diffraction stick pattern of Na2ScCo. It was derived from DFT lattice parameters and positions (PBE), using Cu Kα X-rays.
No peak broadening, texture or thermal motion is included.

Structure:
a b c (Å): 11.929 11.929 11.929
angles (deg): 161.81 161.81 25.83
Fractional coordinates of all 8 atoms:
Na (0.108, 0.625, 0.983)
Na (0.375, 0.358, 0.483)
Na (0.642, 0.125, 0.017)
Na (0.875, 0.892, 0.517)
Sc (0.250, 0.750, 0.500)
Sc (0.500, 0.500, 0.000)
Co (0.000, 0.000, 0.000)
Co (0.750, 0.250, 0.500)

Peak list (8 most intense, 2θ from 15° to 90°, by intensity)
34.51°, d = 2.599 Å, I 100; 30.76°, d = 2.907 Å, I 61; 41.09°, d = 2.197 Å, I 60; 50.92°, d = 1.793 Å, I 53; 15.24°, d = 5.814 Å, I 50; 52.19°, d = 1.753 Å, I 28; 69.57°, d = 1.351 Å, I 19; 81.07°, d = 1.186 Å, I 13

---

(4)
The following is a computed X-ray diffraction stick pattern of NaSc2Co2. It was derived from DFT lattice parameters and positions (PBE), using Cu Kα X-rays.
No peak broadening, texture or thermal motion is included.

Structure:
a b c (Å): 7.539 7.539 3.074
angles (deg): 90.00 90.00 90.00
Fractional coordinates of all 10 atoms:
Na (0.000, 0.000, 0.000)
Na (0.500, 0.500, 0.000)
Sc (0.151, 0.349, 0.500)
Sc (0.349, 0.849, 0.500)
Sc (0.651, 0.151, 0.500)
Sc (0.849, 0.651, 0.500)
Co (0.134, 0.634, 0.000)
Co (0.366, 0.134, 0.000)
Co (0.634, 0.866, 0.000)
Co (0.866, 0.366, 0.000)

Peak list (8 most intense, 2θ from 15° to 90°, by intensity)
39.68°, d = 2.271 Å, I 100; 37.74°, d = 2.384 Å, I 49; 16.63°, d = 5.331 Å, I 36; 74.47°, d = 1.274 Å, I 19; 48.29°, d = 1.885 Å, I 19; 52.96°, d = 1.729 Å, I 15; 73.28°, d = 1.292 Å, I 11; 70.69°, d = 1.333 Å, I 9

---

(5)
The following is a computed X-ray diffraction stick pattern of Na3V3CoSe8. It was derived from DFT lattice parameters and positions (PBE), using Cu Kα X-rays.
No peak broadening, texture or thermal motion is included.

Structure:
a b c (Å): 8.261 8.261 8.261
angles (deg): 52.27 52.27 52.27
Fractional coordinates of all 15 atoms:
Na (0.000, 0.500, 0.500)
Na (0.500, 0.000, 0.500)
Na (0.500, 0.500, 0.000)
V (0.000, 0.000, 0.500)
V (0.000, 0.500, 0.000)
V (0.500, 0.000, 0.000)
Co (0.500, 0.500, 0.500)
Se (0.235, 0.235, 0.235)
Se (0.244, 0.726, 0.726)
Se (0.274, 0.274, 0.756)
Se (0.274, 0.756, 0.274)
Se (0.726, 0.244, 0.726)
Se (0.726, 0.726, 0.244)
Se (0.756, 0.274, 0.274)
Se (0.765, 0.765, 0.765)

Peak list (8 most intense, 2θ from 15° to 90°, by intensity)
33.01°, d = 2.713 Å, I 100; 50.14°, d = 1.820 Å, I 33; 44.50°, d = 2.036 Å, I 27; 41.20°, d = 2.191 Å, I 24; 29.56°, d = 3.022 Å, I 20; 55.64°, d = 1.652 Å, I 15; 61.35°, d = 1.511 Å, I 15; 83.08°, d = 1.163 Å, I 12

---

(6)
The following is a computed X-ray diffraction stick pattern of Na2Co2Si. It was derived from DFT lattice parameters and positions (PBE), using Cu Kα X-rays.
No peak broadening, texture or thermal motion is included.

Structure:
a b c (Å): 5.761 5.761 4.983
angles (deg): 90.00 90.00 90.00
Fractional coordinates of all 10 atoms:
Na (0.178, 0.322, 0.000)
Na (0.322, 0.822, 0.000)
Na (0.678, 0.178, 0.000)
Na (0.822, 0.678, 0.000)
Co (0.139, 0.639, 0.500)
Co (0.361, 0.139, 0.500)
Co (0.639, 0.861, 0.500)
Co (0.861, 0.361, 0.500)
Si (0.000, 0.000, 0.500)
Si (0.500, 0.500, 0.500)

Peak list (8 most intense, 2θ from 15° to 90°, by intensity)
39.37°, d = 2.288 Å, I 100; 17.80°, d = 4.983 Å, I 67; 36.04°, d = 2.492 Å, I 45; 50.07°, d = 1.822 Å, I 20; 63.24°, d = 1.471 Å, I 19; 67.04°, d = 1.396 Å, I 18; 34.83°, d = 2.576 Å, I 15; 53.56°, d = 1.711 Å, I 14